Simulated XRD peak list of SiHg2Br for copper Kα, from a cell relaxed with GGA-PBE.

Cell lengths 11.3978, 3.8672, 8.4004 Å; angles 90.00, 132.62, 90.00 degrees
Space group Cm (No. 8)
Unique sites:
Si1 0.0000 0.0000 0.0000 [2 per cell]
Hg1 0.1358 0.5000 0.3144 [2 per cell]
Hg2 0.3217 0.0000 0.6856 [2 per cell]
Br1 0.2058 0.0000 0.0003 [2 per cell]

The 6 most intense peaks (15 to 90 degrees two-theta), in order of rising 2θ:
| 2θ (°) | d (Å) | I/Imax | index |
| --- | --- | --- | --- |
| 15.5 | 5.699 | 91 | 2 0 -1 |
| 21.2 | 4.190 | 33 | 2 0 -2 |
| 25.4 | 3.511 | 38 | 1 1 0 |
| 31.4 | 2.849 | 35 | 4 0 -2 |
| 32.7 | 2.738 | 100 | 1 1 -2 |
| 39.8 | 2.264 | 46 | 3 1 0 |